1.
Starting from DFT lattice parameters and positions (GGA+U), the powder XRD pattern of Mn2PO5 was calculated for copper Kα.
Kinematic intensities with the Lorentz-polarization factor, no thermal factor.

Top 10 peaks for 2θ from 5° to 70°, in order of falling intensity:
| d_spacing | I/Imax |
| --- | --- |
| 4.921 | 100 |
| 5.987 | 65 |
| 2.993 | 59 |
| 2.683 | 44 |
| 2.698 | 41 |
| 3.789 | 40 |
| 2.458 | 30 |
| 1.665 | 24 |
| 2.363 | 21 |
| 2.671 | 21 |

Crystal structure
```
32
Lattice="8.442 0.000 0.000 0.000 8.492 0.000 0.000 0.000 6.044" Properties=species:S:1:pos:R:3 pbc="T T T"
Mn 0.000 0.000 1.456
Mn 0.000 0.000 4.588
Mn 1.232 3.134 3.022
Mn 2.988 7.380 0.000
Mn 4.221 4.246 1.566
Mn 4.221 4.246 4.478
Mn 5.453 1.112 0.000
Mn 7.209 5.358 3.022
P 1.977 6.353 3.022
P 2.244 2.107 0.000
P 6.198 6.385 0.000
P 6.465 2.139 3.022
O 0.881 5.253 3.022
O 1.044 7.816 0.000
O 1.166 7.738 3.022
O 1.366 2.013 1.264
O 1.366 2.013 4.780
O 2.855 6.259 1.758
O 2.855 6.259 4.286
O 3.055 3.492 0.000
O 3.177 3.570 3.022
O 3.340 1.007 0.000
O 5.102 7.486 0.000
O 5.264 4.922 3.022
O 5.387 5.000 0.000
O 5.587 2.234 1.758
O 5.587 2.234 4.286
O 7.076 6.480 1.264
O 7.076 6.480 4.780
O 7.275 0.754 3.022
O 7.398 0.676 0.000
O 7.561 3.240 3.022
```

=====

2.
Starting from DFT lattice parameters and positions (GGA+U), the powder XRD pattern of Li5Ni3Sn2O10 was calculated for copper Kα.
Kinematic intensities with the Lorentz-polarization factor, no thermal factor.

Top 10 peaks for 2θ from 5° to 70°, in order of falling intensity:
| d_spacing | I/Imax |
| --- | --- |
| 4.910 | 100 |
| 2.141 | 51 |
| 4.958 | 47 |
| 2.150 | 47 |
| 2.124 | 46 |
| 2.476 | 36 |
| 3.967 | 29 |
| 2.586 | 28 |
| 1.504 | 27 |
| 7.272 | 25 |

Crystal structure
```
20
Lattice="5.194 0.000 0.000 0.855 5.178 0.000 2.565 2.189 7.272" Properties=species:S:1:pos:R:3 pbc="T T T"
Li 0.000 0.000 0.000
Li 6.004 2.174 1.496
Li 1.681 2.106 4.368
Li 3.382 1.012 2.161
Li 6.799 4.953 2.821
Ni 5.116 6.027 5.072
Ni 5.124 3.357 6.541
Ni 7.696 4.682 5.796
Sn 3.372 3.704 0.724
Sn 4.305 3.496 3.644
O 3.422 2.818 5.410
O 2.592 2.981 2.512
O 1.719 0.400 1.020
O 3.523 5.409 4.119
O 4.321 5.326 6.726
O 5.059 1.565 3.432
O 6.702 6.560 6.129
O 5.085 4.193 1.833
O 5.968 4.114 4.745
O 4.250 1.851 0.277
```

=====

3.
Starting from DFT lattice parameters and positions (GGA+U), the powder XRD pattern of FeF6 was calculated for copper Kα.
Kinematic intensities with the Lorentz-polarization factor, no thermal factor.

Top 10 peaks for 2θ from 5° to 70°, in order of falling intensity:
| d_spacing | I/Imax |
| --- | --- |
| 7.772 | 100 |
| 4.297 | 99 |
| 5.157 | 25 |
| 3.886 | 19 |
| 2.285 | 18 |
| 2.801 | 16 |
| 2.901 | 13 |
| 1.829 | 10 |
| 1.638 | 8 |
| 2.932 | 8 |

Crystal structure
```
14
Lattice="1.551 -5.157 0.000 1.551 5.157 0.000 -0.471 0.000 15.544" Properties=species:S:1:pos:R:3 pbc="T T T"
Fe 0.775 2.579 0.000
Fe 0.540 -2.579 7.772
F 0.216 0.586 4.515
F 0.293 1.709 14.024
F 0.659 1.496 7.153
F -0.019 -0.586 12.287
F 0.528 -1.709 6.252
F 0.424 -1.496 14.924
F 2.207 1.496 0.619
F 2.103 1.709 9.292
F 2.650 0.586 3.257
F 1.972 -1.496 8.391
F 2.338 -1.709 1.520
F 2.415 -0.586 11.029
```

=====

4.
Starting from DFT lattice parameters and positions (GGA+U), the powder XRD pattern of FeOF was calculated for copper Kα.
Kinematic intensities with the Lorentz-polarization factor, no thermal factor.

Top 10 peaks for 2θ from 5° to 70°, in order of falling intensity:
| d_spacing | I/Imax |
| --- | --- |
| 3.356 | 100 |
| 1.749 | 58 |
| 2.588 | 54 |
| 1.408 | 19 |
| 2.272 | 18 |
| 1.678 | 16 |
| 1.403 | 12 |
| 2.123 | 10 |
| 1.544 | 10 |
| 2.373 | 8 |

Crystal structure
```
54
Lattice="14.240 0.000 0.000 0.000 3.088 0.000 -0.009 0.000 14.240" Properties=species:S:1:pos:R:3 pbc="T T T"
Fe 0.000 0.000 0.000
Fe 0.017 0.000 4.805
Fe 0.141 0.000 9.548
Fe 2.442 1.544 6.763
Fe 2.546 1.544 2.272
Fe 2.596 1.544 11.669
Fe 4.815 0.000 9.504
Fe 4.857 0.000 4.819
Fe 4.958 0.000 13.895
Fe 7.116 1.544 1.985
Fe 7.121 1.544 11.584
Fe 7.257 1.544 6.855
Fe 9.242 0.000 9.313
Fe 9.513 0.000 0.017
Fe 9.537 0.000 4.768
Fe 11.875 1.544 2.042
Fe 11.894 1.544 6.815
Fe 11.994 1.544 11.561
O 1.523 0.000 10.834
O 1.538 0.000 6.032
O 3.346 0.000 12.652
O 3.888 1.544 10.190
O 3.918 1.544 5.517
O 5.836 1.544 13.098
O 6.222 0.000 1.277
O 6.307 0.000 6.057
O 6.340 0.000 10.717
O 8.086 0.000 7.825
O 8.659 1.544 5.441
O 8.677 1.544 0.743
O 8.720 1.544 10.315
O 11.030 0.000 6.055
O 11.047 0.000 1.238
O 13.343 1.544 10.281
O 13.383 1.544 5.541
O 13.410 1.544 0.764
F 0.897 1.544 13.187
F 0.939 1.544 3.663
F 0.994 1.544 8.411
F 1.541 0.000 1.245
F 3.369 0.000 7.873
F 3.506 0.000 3.207
F 3.926 1.544 0.705
F 5.696 1.544 8.362
F 5.777 1.544 3.676
F 8.139 0.000 3.091
F 8.236 0.000 12.628
F 10.547 1.544 3.630
F 10.557 1.544 8.465
F 10.604 1.544 13.043
F 11.022 0.000 10.780
F 12.833 0.000 12.617
F 12.872 0.000 3.112
F 12.917 0.000 7.939
```

=====

5.
Starting from DFT lattice parameters and positions (GGA+U), the powder XRD pattern of Ba2YNi3O8 was calculated for copper Kα.
Kinematic intensities with the Lorentz-polarization factor, no thermal factor.

Top 10 peaks for 2θ from 5° to 70°, in order of falling intensity:
| d_spacing | I/Imax |
| --- | --- |
| 2.756 | 100 |
| 2.788 | 46 |
| 1.604 | 38 |
| 1.972 | 32 |
| 1.585 | 20 |
| 2.259 | 15 |
| 1.378 | 14 |
| 1.926 | 11 |
| 1.394 | 9 |
| 3.943 | 7 |

Crystal structure
```
14
Lattice="3.943 0.000 0.000 0.000 3.943 0.000 0.000 0.000 11.558" Properties=species:S:1:pos:R:3 pbc="T T T"
Ba 0.000 0.000 1.985
Ba 0.000 0.000 9.573
Y 0.000 0.000 5.779
Ni 1.972 1.972 0.000
Ni 1.972 1.972 3.965
Ni 1.972 1.972 7.593
O 0.000 1.972 0.000
O 0.000 1.972 4.373
O 0.000 1.972 7.186
O 1.972 0.000 0.000
O 1.972 0.000 4.373
O 1.972 0.000 7.186
O 1.972 1.972 1.983
O 1.972 1.972 9.575
```

=====

6.
Starting from DFT lattice parameters and positions (GGA+U), the powder XRD pattern of NiB4O7 was calculated for copper Kα.
Kinematic intensities with the Lorentz-polarization factor, no thermal factor.

Top 10 peaks for 2θ from 5° to 70°, in order of falling intensity:
| d_spacing | I/Imax |
| --- | --- |
| 2.709 | 100 |
| 2.774 | 91 |
| 3.801 | 58 |
| 1.887 | 58 |
| 1.953 | 37 |
| 1.924 | 32 |
| 1.900 | 31 |
| 3.219 | 28 |
| 5.463 | 27 |
| 1.743 | 27 |

Crystal structure
```
24
Lattice="5.463 -3.219 0.000 5.463 3.219 0.000 0.000 0.000 5.218" Properties=species:S:1:pos:R:3 pbc="T T T"
Ni 5.463 1.634 3.914
Ni 5.463 -1.634 1.305
B 4.195 1.202 1.305
B 2.205 0.000 0.000
B 2.205 0.000 2.609
B 6.731 1.202 1.305
B 4.195 -1.202 3.914
B 8.721 0.000 0.000
B 8.721 0.000 2.609
B 6.731 -1.202 3.914
O 4.078 2.029 0.120
O 4.078 2.029 2.489
O 3.040 0.151 1.305
O 3.040 -0.151 3.914
O 6.848 2.029 0.120
O 6.848 2.029 2.489
O 5.463 0.452 1.305
O 5.463 -0.452 3.914
O 4.078 -2.029 2.730
O 4.078 -2.029 5.098
O 7.886 0.151 1.305
O 7.886 -0.151 3.914
O 6.848 -2.029 2.730
O 6.848 -2.029 5.098
```

=====

7.
Starting from DFT lattice parameters and positions (GGA+U), the powder XRD pattern of Li4Ti2Cr3Ni3O16 was calculated for copper Kα.
Kinematic intensities with the Lorentz-polarization factor, no thermal factor.

Top 10 peaks for 2θ from 5° to 70°, in order of falling intensity:
| d_spacing | I/Imax |
| --- | --- |
| 4.723 | 100 |
| 4.420 | 63 |
| 2.448 | 39 |
| 1.950 | 39 |
| 4.486 | 37 |
| 1.469 | 35 |
| 1.987 | 27 |
| 2.210 | 25 |
| 2.426 | 25 |
| 1.526 | 21 |

Crystal structure
```
28
Lattice="5.116 -2.901 0.000 5.116 2.901 0.000 -0.364 0.000 9.446" Properties=species:S:1:pos:R:3 pbc="T T T"
Li 0.000 0.000 0.000
Li -0.175 0.000 4.700
Li 3.413 0.000 0.954
Li 6.547 0.000 5.637
Ti 3.245 0.000 4.653
Ti 6.449 0.000 9.395
Cr 3.877 1.420 7.304
Cr 3.877 -1.420 7.304
Cr 8.363 0.000 2.563
Ni 1.435 0.000 7.404
Ni 5.890 1.421 2.653
Ni 5.890 -1.421 2.653
O 2.444 1.311 6.149
O 4.016 1.473 3.752
O 1.507 0.000 3.751
O 5.577 1.413 8.511
O 3.247 0.000 8.401
O 4.646 0.000 6.146
O 2.444 -1.311 6.149
O 5.301 0.000 1.509
O 7.595 1.264 1.410
O 4.016 -1.473 3.752
O 6.717 0.000 3.608
O 5.577 -1.413 8.511
O 8.158 0.000 8.433
O 7.595 -1.264 1.410
O 9.881 0.000 6.507
O 10.138 0.000 1.784
```

=====

8.
Starting from DFT lattice parameters and positions (GGA+U), the powder XRD pattern of Mg6VZnO8 was calculated for copper Kα.
Kinematic intensities with the Lorentz-polarization factor, no thermal factor.

Top 10 peaks for 2θ from 5° to 70°, in order of falling intensity:
| d_spacing | I/Imax |
| --- | --- |
| 2.149 | 100 |
| 1.517 | 57 |
| 2.141 | 49 |
| 8.563 | 42 |
| 2.478 | 39 |
| 1.519 | 29 |
| 2.864 | 14 |
| 4.284 | 11 |
| 2.082 | 11 |
| 3.038 | 10 |

Crystal structure
```
16
Lattice="4.297 0.000 0.000 0.000 4.297 0.000 0.000 0.000 8.563" Properties=species:S:1:pos:R:3 pbc="T T T"
Mg 0.000 0.000 0.000
Mg 0.000 2.149 2.134
Mg 0.000 2.149 6.429
Mg 2.149 0.000 2.134
Mg 2.149 0.000 6.429
Mg 2.149 2.149 0.000
V 0.000 0.000 4.281
Zn 2.149 2.149 4.281
O 0.000 0.000 2.099
O 0.000 0.000 6.464
O 0.000 2.149 0.000
O 0.000 2.149 4.281
O 2.149 0.000 0.000
O 2.149 0.000 4.281
O 2.149 2.149 2.112
O 2.149 2.149 6.450
```

=====

Question: Which formula does entry 8 have?
Answer: Mg6VZnO8